The following is a theoretical powder diffractogram of Zn8Fe3N8. It was derived from a crystal structure in Alexandria, relaxed with PBE, using Cu Kα (weighted mean of Kα1 and Kα2).
No peak broadening, texture or thermal motion is included.

Cell and atoms:
```
data_Zn8Fe3N8
_chemical_formula_sum 'Zn8 Fe3 N8'
_symmetry_space_group_name_H-M 'P 1'
_symmetry_Int_Tables_number 1
_cell_length_a 10.817
_cell_length_b 10.817
_cell_length_c 8.136
_cell_angle_alpha 110.89
_cell_angle_beta 110.89
_cell_angle_gamma 18.31
loop_
_symmetry_equiv_pos_as_xyz
'x,y,z'
loop_
_atom_site_label
_atom_site_fract_x
_atom_site_fract_y
_atom_site_fract_z
Zn1 0.056 0.056 0.305
Zn2 0.201 0.201 0.061
Zn3 0.318 0.318 0.638
Zn4 0.416 0.416 0.208
Zn5 0.584 0.584 0.792
Zn6 0.682 0.682 0.362
Zn7 0.799 0.799 0.939
Zn8 0.944 0.944 0.695
Fe1 0.182 0.182 0.675
Fe2 0.500 0.500 0.000
Fe3 0.818 0.818 0.325
N1 0.133 0.133 0.818
N2 0.156 0.156 0.434
N3 0.271 0.271 0.813
N4 0.489 0.489 0.761
N5 0.511 0.511 0.239
N6 0.729 0.729 0.187
N7 0.844 0.844 0.566
N8 0.867 0.867 0.182
```

Largest 12 diffraction maxima, by intensity, 10° ≤ 2θ ≤ 90°:
- 33.4 deg, d 2.684, I = 100.0
- 33.6 deg, d 2.665, I = 84.1
- 36.1 deg, d 2.490, I = 56.0
- 34.5 deg, d 2.600, I = 43.7
- 21.9 deg, d 4.067, I = 37.8
- 53.2 deg, d 1.721, I = 35.1
- 69.0 deg, d 1.361, I = 27.2
- 34.4 deg, d 2.609, I = 27.1
- 40.6 deg, d 2.220, I = 25.3
- 36.6 deg, d 2.455, I = 24.3
- 69.4 deg, d 1.354, I = 24.1
- 23.5 deg, d 3.793, I = 22.9

---

The following is a theoretical powder diffractogram of Zr4Fe2N. It was derived from a crystal structure in Alexandria, relaxed with PBE, using Cu Kα (weighted mean of Kα1 and Kα2).
No peak broadening, texture or thermal motion is included.

Cell and atoms:
```
data_Zr4Fe2N
_chemical_formula_sum 'Zr16 Fe8 N4'
_symmetry_space_group_name_H-M 'P 1'
_symmetry_Int_Tables_number 1
_cell_length_a 8.632
_cell_length_b 8.632
_cell_length_c 8.632
_cell_angle_alpha 60.00
_cell_angle_beta 60.00
_cell_angle_gamma 60.00
loop_
_symmetry_equiv_pos_as_xyz
'x,y,z'
loop_
_atom_site_label
_atom_site_fract_x
_atom_site_fract_y
_atom_site_fract_z
Zr1 0.000 0.000 0.000
Zr2 0.000 0.000 0.500
Zr3 0.000 0.500 0.000
Zr4 0.189 0.189 0.561
Zr5 0.189 0.561 0.189
Zr6 0.189 0.561 0.561
Zr7 0.439 0.439 0.811
Zr8 0.439 0.811 0.439
Zr9 0.439 0.811 0.811
Zr10 0.500 0.000 0.000
Zr11 0.561 0.189 0.189
Zr12 0.561 0.189 0.561
Zr13 0.561 0.561 0.189
Zr14 0.811 0.439 0.439
Zr15 0.811 0.439 0.811
Zr16 0.811 0.811 0.439
Fe1 0.123 0.792 0.792
Fe2 0.208 0.208 0.208
Fe3 0.208 0.208 0.877
Fe4 0.208 0.877 0.208
Fe5 0.792 0.123 0.792
Fe6 0.792 0.792 0.123
Fe7 0.792 0.792 0.792
Fe8 0.877 0.208 0.208
N1 0.000 0.500 0.500
N2 0.500 0.000 0.500
N3 0.500 0.500 0.000
N4 0.500 0.500 0.500
```

Largest 12 diffraction maxima, by intensity, 10° ≤ 2θ ≤ 90°:
- 38.3 deg, d 2.349, I = 100.0
- 36.0 deg, d 2.492, I = 40.6
- 64.8 deg, d 1.439, I = 37.1
- 41.9 deg, d 2.158, I = 28.5
- 32.0 deg, d 2.801, I = 23.7
- 77.9 deg, d 1.227, I = 18.4
- 66.3 deg, d 1.410, I = 10.2
- 49.5 deg, d 1.840, I = 8.5
- 62.3 deg, d 1.491, I = 7.8
- 44.5 deg, d 2.035, I = 6.0
- 82.0 deg, d 1.175, I = 5.5
- 53.6 deg, d 1.709, I = 4.0

---

The following is a theoretical powder diffractogram of NaFe. It was derived from a crystal structure in Alexandria, relaxed with PBE, using Cu Kα (weighted mean of Kα1 and Kα2).
No peak broadening, texture or thermal motion is included.

Cell and atoms:
```
data_NaFe
_chemical_formula_sum 'Na3 Fe3'
_symmetry_space_group_name_H-M 'P 1'
_symmetry_Int_Tables_number 1
_cell_length_a 8.374
_cell_length_b 8.374
_cell_length_c 2.725
_cell_angle_alpha 90.00
_cell_angle_beta 90.00
_cell_angle_gamma 142.30
loop_
_symmetry_equiv_pos_as_xyz
'x,y,z'
loop_
_atom_site_label
_atom_site_fract_x
_atom_site_fract_y
_atom_site_fract_z
Na1 0.000 0.000 0.000
Na2 0.193 0.807 0.500
Na3 0.807 0.193 0.500
Fe1 0.379 0.621 0.000
Fe2 0.500 0.500 0.500
Fe3 0.621 0.379 0.000
```

Largest 12 diffraction maxima, by intensity, 10° ≤ 2θ ≤ 90°:
- 17.3 deg, d 5.121, I = 100.0
- 40.8 deg, d 2.211, I = 82.8
- 33.1 deg, d 2.706, I = 57.0
- 11.2 deg, d 7.925, I = 34.0
- 40.2 deg, d 2.245, I = 26.3
- 53.0 deg, d 1.728, I = 22.0
- 47.1 deg, d 1.931, I = 20.9
- 32.7 deg, d 2.735, I = 20.8
- 64.4 deg, d 1.447, I = 18.8
- 43.3 deg, d 2.089, I = 14.7
- 45.8 deg, d 1.981, I = 8.1
- 57.7 deg, d 1.598, I = 7.7